# 1
This entry pairs a crystal structure of Nd2TmTl3Se6 with its simulated X-ray powder pattern. Radiation: Cu Kα (λ = 1.5418 Å). Structure: DFT lattice parameters and positions (PBE).
Peak positions follow from Bragg's law for the DFT cell and can differ from measured ones.

Top 6 peaks for 2θ from 10° to 90°, by angle:
two_theta, I/Imax
25.3, 20
28.6, 100
39.4, 38
42.4, 36
52.0, 19
69.2, 16

Crystal structure
Unit cell a=7.385 b=7.385 c=8.144 alpha=98.70 beta=98.70 gamma=119.98
Element x y z (fractional)
Nd 0.167 0.833 0.000
Nd 0.833 0.167 0.000
Tm 0.500 0.500 0.000
Tl 0.000 0.000 0.500
Tl 0.331 0.669 0.500
Tl 0.669 0.331 0.500
Se 0.109 0.431 0.793
Se 0.248 0.248 0.209
Se 0.431 0.109 0.793
Se 0.569 0.891 0.207
Se 0.752 0.752 0.791
Se 0.891 0.569 0.207


# 2
This entry pairs a crystal structure of BaCa3Mg2 with its simulated X-ray powder pattern. Radiation: Cu Kα (λ = 1.5418 Å). Structure: DFT lattice parameters and positions (PBE).
Peak positions follow from Bragg's law for the DFT cell and can differ from measured ones.

Top 6 peaks for 2θ from 10° to 90°, by angle:
two_theta, I/Imax
22.9, 44
25.5, 57
29.2, 100
31.4, 60
40.7, 22
54.5, 32

Crystal structure
Unit cell a=4.030 b=4.030 c=14.112 alpha=90.00 beta=90.00 gamma=90.00
Element x y z (fractional)
Ba 0.000 0.000 0.000
Ca 0.500 0.500 0.225
Ca 0.500 0.500 0.500
Ca 0.500 0.500 0.775
Mg 0.000 0.000 0.364
Mg 0.000 0.000 0.636


# 3
This entry pairs a crystal structure of In3Hg8Bi2 with its simulated X-ray powder pattern. Radiation: Cu Kα (λ = 1.5418 Å). Structure: DFT lattice parameters and positions (PBE).
Peak positions follow from Bragg's law for the DFT cell and can differ from measured ones.

Top 6 peaks for 2θ from 10° to 90°, by angle:
two_theta, I/Imax
30.6, 100
31.7, 93
32.3, 62
33.3, 64
35.8, 47
36.8, 50

Crystal structure
Unit cell a=3.410 b=9.124 c=11.923 alpha=89.07 beta=84.31 gamma=82.09
Element x y z (fractional)
In 0.000 0.000 0.000
In 0.054 0.600 0.842
In 0.946 0.400 0.158
Hg 0.210 0.222 0.710
Hg 0.374 0.485 0.380
Hg 0.404 0.086 0.220
Hg 0.454 0.693 0.066
Hg 0.546 0.307 0.934
Hg 0.596 0.914 0.780
Hg 0.626 0.515 0.620
Hg 0.790 0.778 0.290
Bi 0.016 0.838 0.537
Bi 0.984 0.162 0.463